# 1
Structure and calculated powder diffraction line list of TbTm6In (a PBE-relaxed structure; λ = 1.5418 Å (Cu Kα)).
No peak broadening, texture or thermal motion is included.

Atomic structure:
```
data_TbTm6In
_chemical_formula_sum 'Tb2 Tm12 In2'
_symmetry_space_group_name_H-M 'P 1'
_symmetry_Int_Tables_number 1
_cell_length_a 6.4761
_cell_length_b 11.3214
_cell_length_c 6.4673
_cell_angle_alpha 90.00
_cell_angle_beta 90.10
_cell_angle_gamma 90.00
loop_
_symmetry_equiv_pos_as_xyz
'x,y,z'
loop_
_atom_site_label
_atom_site_fract_x
_atom_site_fract_y
_atom_site_fract_z
Tb1 0.0000 0.0000 0.0000
Tb2 0.5000 0.5000 0.0000
Tm1 0.0604 0.5000 0.2517
Tm2 0.2111 0.2183 0.2512
Tm3 0.2111 0.7817 0.2512
Tm4 0.2889 0.2817 0.7488
Tm5 0.2889 0.7183 0.7488
Tm6 0.4396 0.0000 0.7483
Tm7 0.5604 0.0000 0.2517
Tm8 0.7111 0.2817 0.2512
Tm9 0.7111 0.7183 0.2512
Tm10 0.7889 0.2183 0.7488
Tm11 0.7889 0.7817 0.7488
Tm12 0.9396 0.5000 0.7483
In1 0.0000 0.0000 0.5000
In2 0.5000 0.5000 0.5000
```

Most intense lines, 2θ from 10° to 90°, low angle first:
Position (°2θ)  d/Å  I/Imax
27.58  3.234  22
30.71  2.911  30
30.88  2.896  19
31.61  2.830  34
31.86  2.809  100
31.95  2.801  17
39.24  2.296  30
42.62  2.121  14
61.25  1.513  15
66.69  1.402  13

# 2
Structure and calculated powder diffraction line list of Tb4TmIn4 (a PBE-relaxed structure; λ = 1.5418 Å (Cu Kα)).
No peak broadening, texture or thermal motion is included.

Atomic structure:
```
data_Tb4TmIn4
_chemical_formula_sum 'Tb8 Tm2 In8'
_symmetry_space_group_name_H-M 'P 1'
_symmetry_Int_Tables_number 1
_cell_length_a 9.1717
_cell_length_b 9.1717
_cell_length_c 6.0166
_cell_angle_alpha 90.00
_cell_angle_beta 90.00
_cell_angle_gamma 90.00
loop_
_symmetry_equiv_pos_as_xyz
'x,y,z'
loop_
_atom_site_label
_atom_site_fract_x
_atom_site_fract_y
_atom_site_fract_z
Tb1 0.0844 0.8220 0.1267
Tb2 0.1780 0.5844 0.6267
Tb3 0.3220 0.9156 0.6267
Tb4 0.4156 0.6780 0.1267
Tb5 0.5844 0.3220 0.8733
Tb6 0.6780 0.0844 0.3733
Tb7 0.8220 0.4156 0.3733
Tb8 0.9156 0.1780 0.8733
Tm1 0.2500 0.2500 0.7500
Tm2 0.7500 0.7500 0.2500
In1 0.0462 0.1496 0.3627
In2 0.1496 0.4538 0.1373
In3 0.3504 0.0462 0.1373
In4 0.4538 0.3504 0.3627
In5 0.5462 0.6496 0.6373
In6 0.6496 0.9538 0.8627
In7 0.8504 0.5462 0.8627
In8 0.9538 0.8504 0.6373
```

Most intense lines, 2θ from 10° to 90°, low angle first:
Position (°2θ)  d/Å  I/Imax
26.30  3.389  17
30.83  2.900  75
31.31  2.857  100
32.86  2.726  72
34.32  2.613  30
37.06  2.426  46
38.42  2.343  51
50.71  1.800  17
58.99  1.566  17
67.18  1.393  16

# 3
Structure and calculated powder diffraction line list of Tb3Tm4In (a PBE-relaxed structure; λ = 1.5418 Å (Cu Kα)).
No peak broadening, texture or thermal motion is included.

Atomic structure:
```
data_Tb3Tm4In
_chemical_formula_sum 'Tb6 Tm8 In2'
_symmetry_space_group_name_H-M 'P 1'
_symmetry_Int_Tables_number 1
_cell_length_a 6.9976
_cell_length_b 7.0054
_cell_length_c 11.6650
_cell_angle_alpha 81.49
_cell_angle_beta 72.56
_cell_angle_gamma 60.15
loop_
_symmetry_equiv_pos_as_xyz
'x,y,z'
loop_
_atom_site_label
_atom_site_fract_x
_atom_site_fract_y
_atom_site_fract_z
Tb1 0.0000 0.0000 0.0000
Tb2 0.0327 0.1711 0.2593
Tb3 0.2487 0.9902 0.5083
Tb4 0.4959 0.5024 0.9975
Tb5 0.5432 0.6679 0.2488
Tb6 0.7832 0.6804 0.7490
Tm1 0.0052 0.5029 0.9949
Tm2 0.0351 0.6724 0.2579
Tm3 0.2471 0.5067 0.5074
Tm4 0.2978 0.1638 0.7495
Tm5 0.4955 0.0058 0.0055
Tm6 0.5373 0.1704 0.2619
Tm7 0.7357 0.5064 0.5071
Tm8 0.7861 0.1645 0.7495
In1 0.2910 0.6653 0.7495
In2 0.7424 0.0044 0.5073
```

Most intense lines, 2θ from 10° to 90°, low angle first:
Position (°2θ)  d/Å  I/Imax
29.44  3.034  28
32.17  2.782  30
33.63  2.665  100
33.70  2.660  20
44.16  2.051  15
52.26  1.750  15
58.30  1.583  20
62.61  1.484  13
62.74  1.481  13
63.50  1.465  9

# 4
Structure and calculated powder diffraction line list of Tb3Tm4In2 (a PBE-relaxed structure; λ = 1.5418 Å (Cu Kα)).
No peak broadening, texture or thermal motion is included.

Atomic structure:
```
data_Tb3Tm4In2
_chemical_formula_sum 'Tb6 Tm8 In4'
_symmetry_space_group_name_H-M 'P 1'
_symmetry_Int_Tables_number 1
_cell_length_a 9.2568
_cell_length_b 9.2568
_cell_length_c 6.3569
_cell_angle_alpha 96.11
_cell_angle_beta 96.11
_cell_angle_gamma 87.67
loop_
_symmetry_equiv_pos_as_xyz
'x,y,z'
loop_
_atom_site_label
_atom_site_fract_x
_atom_site_fract_y
_atom_site_fract_z
Tb1 0.0252 0.9748 0.7500
Tb2 0.3276 0.4531 0.9111
Tb3 0.4531 0.3276 0.4111
Tb4 0.5469 0.6724 0.5889
Tb5 0.6724 0.5469 0.0889
Tb6 0.9748 0.0252 0.2500
Tm1 0.0043 0.3394 0.0747
Tm2 0.1902 0.6231 0.4309
Tm3 0.3394 0.0043 0.5747
Tm4 0.3769 0.8098 0.0691
Tm5 0.6231 0.1902 0.9309
Tm6 0.6606 0.9957 0.4253
Tm7 0.8098 0.3769 0.5691
Tm8 0.9957 0.6606 0.9253
In1 0.1279 0.2891 0.5594
In2 0.2891 0.1279 0.0594
In3 0.7109 0.8721 0.9406
In4 0.8721 0.7109 0.4406
```

Most intense lines, 2θ from 10° to 90°, low angle first:
Position (°2θ)  d/Å  I/Imax
28.39  3.144  22
29.11  3.067  33
31.01  2.884  24
31.11  2.875  36
33.28  2.692  100
33.34  2.688  81
33.81  2.651  37
34.67  2.587  53
35.06  2.559  31
52.14  1.754  33

# 5
Structure and calculated powder diffraction line list of TbTm4In2 (a PBE-relaxed structure; λ = 1.5418 Å (Cu Kα)).
No peak broadening, texture or thermal motion is included.

Atomic structure:
```
data_TbTm4In2
_chemical_formula_sum 'Tb1 Tm4 In2'
_symmetry_space_group_name_H-M 'P 1'
_symmetry_Int_Tables_number 1
_cell_length_a 7.8893
_cell_length_b 6.6990
_cell_length_c 6.3214
_cell_angle_alpha 74.53
_cell_angle_beta 54.92
_cell_angle_gamma 50.55
loop_
_symmetry_equiv_pos_as_xyz
'x,y,z'
loop_
_atom_site_label
_atom_site_fract_x
_atom_site_fract_y
_atom_site_fract_z
Tb1 0.0000 0.0000 0.0000
Tm1 0.2500 0.2500 0.2500
Tm2 0.3321 0.6679 0.3321
Tm3 0.6679 0.3321 0.6679
Tm4 0.7500 0.7500 0.7500
In1 0.2774 0.2774 0.7226
In2 0.7226 0.7226 0.2774
```

Most intense lines, 2θ from 10° to 90°, low angle first:
Position (°2θ)  d/Å  I/Imax
29.36  3.042  91
30.75  2.907  73
30.86  2.897  100
31.43  2.847  58
35.13  2.555  95
36.80  2.442  91
36.99  2.430  38
53.80  1.704  46
58.56  1.576  36
67.67  1.385  42

# 6
Structure and calculated powder diffraction line list of Tb2Tm2In3 (a PBE-relaxed structure; λ = 1.5418 Å (Cu Kα)).
No peak broadening, texture or thermal motion is included.

Atomic structure:
```
data_Tb2Tm2In3
_chemical_formula_sum 'Tb4 Tm4 In6'
_symmetry_space_group_name_H-M 'P 1'
_symmetry_Int_Tables_number 1
_cell_length_a 4.9914
_cell_length_b 4.9908
_cell_length_c 15.4159
_cell_angle_alpha 90.00
_cell_angle_beta 99.26
_cell_angle_gamma 90.00
loop_
_symmetry_equiv_pos_as_xyz
'x,y,z'
loop_
_atom_site_label
_atom_site_fract_x
_atom_site_fract_y
_atom_site_fract_z
Tb1 0.0705 0.0000 0.1410
Tb2 0.4295 0.5000 0.8590
Tb3 0.5705 0.5000 0.1410
Tb4 0.9295 0.0000 0.8590
Tm1 0.2099 0.0000 0.4195
Tm2 0.2901 0.5000 0.5805
Tm3 0.7099 0.5000 0.4195
Tm4 0.7901 0.0000 0.5805
In1 0.0000 0.5000 0.0000
In2 0.1411 0.5000 0.2821
In3 0.3589 0.0000 0.7179
In4 0.5000 0.0000 0.0000
In5 0.6411 0.0000 0.2821
In6 0.8589 0.5000 0.7179
```

Most intense lines, 2θ from 10° to 90°, low angle first:
Position (°2θ)  d/Å  I/Imax
32.68  2.740  100
35.99  2.496  39
41.55  2.174  12
51.81  1.765  14
56.11  1.639  20
62.62  1.484  30
68.46  1.370  6
70.22  1.340  10
85.51  1.136  6
87.38  1.116  6